[1]
Starting from DFT lattice parameters and positions (PBE), the powder diffraction line list of KTeSe2 was computed for Cu Ka.

a b c (Å): 6.398 6.593 13.565
angles (deg): 90.00 114.28 90.00
Space group P2/c (No. 13)
Symmetry-distinct sites (fractional):
K1 0.129 0.232 0.125 [4 per cell]
Te1 0.411 0.283 0.880 [4 per cell]
Se1 0.188 0.268 0.649 [4 per cell]
Se2 0.395 0.280 0.402 [4 per cell]

Top 8 peaks for 10 to 90 degrees two-theta, sorted by position:
| two_theta | I (rel.) |
| --- | --- |
| 15.21 | 92 |
| 27.05 | 100 |
| 27.96 | 95 |
| 28.88 | 77 |
| 39.27 | 88 |
| 39.98 | 60 |
| 42.01 | 28 |
| 50.68 | 29 |


[2]
Starting from DFT lattice parameters and positions (PBE), the powder diffraction line list of K3TeSe4 was computed for Cu Ka.

a b c (Å): 8.134 8.134 8.134
angles (deg): 90.00 90.00 90.00
Space group I-43m (No. 217)
Symmetry-distinct sites (fractional):
K1 0.000 0.000 0.500 [6 per cell]
Te1 0.000 0.000 0.000 [2 per cell]
Se1 0.186 0.186 0.186 [8 per cell]

Top 8 peaks for 10 to 90 degrees two-theta, sorted by position:
| two_theta | I (rel.) |
| --- | --- |
| 15.41 | 58 |
| 26.85 | 73 |
| 31.10 | 100 |
| 41.54 | 37 |
| 47.42 | 55 |
| 50.16 | 19 |
| 69.31 | 19 |
| 71.50 | 22 |


[3]
Starting from DFT lattice parameters and positions (PBE), the powder diffraction line list of KTlTeSe3 was computed for Cu Ka.

a b c (Å): 7.538 15.585 7.363
angles (deg): 90.00 106.65 90.00
Space group C2/c (No. 15)
Symmetry-distinct sites (fractional):
K1 0.000 0.243 0.250 [4 per cell]
Tl1 0.000 0.424 0.750 [4 per cell]
Te1 0.000 0.056 0.750 [4 per cell]
Se1 0.000 0.222 0.750 [4 per cell]
Se2 0.235 0.063 0.516 [8 per cell]

Top 8 peaks for 10 to 90 degrees two-theta, sorted by position:
| two_theta | I (rel.) |
| --- | --- |
| 11.36 | 78 |
| 20.76 | 54 |
| 26.37 | 100 |
| 29.92 | 70 |
| 35.15 | 45 |
| 39.91 | 31 |
| 40.55 | 32 |
| 40.69 | 30 |


[4]
Starting from DFT lattice parameters and positions (PBE), the powder diffraction line list of K2TlTeSe4 was computed for Cu Ka.

a b c (Å): 8.708 8.985 12.652
angles (deg): 90.00 90.00 90.00
Space group Imma (No. 74)
Symmetry-distinct sites (fractional):
K1 0.000 0.000 0.000 [4 per cell]
K2 0.250 0.250 0.250 [4 per cell]
Tl1 0.000 0.000 0.500 [4 per cell]
Te1 0.250 0.250 0.750 [4 per cell]
Se1 0.000 0.038 0.749 [8 per cell]
Se2 0.233 0.250 0.525 [8 per cell]

Top 8 peaks for 10 to 90 degrees two-theta, sorted by position:
| two_theta | I (rel.) |
| --- | --- |
| 12.08 | 31 |
| 12.34 | 41 |
| 28.21 | 50 |
| 28.55 | 100 |
| 40.14 | 17 |
| 40.57 | 70 |
| 41.48 | 18 |
| 50.92 | 18 |